[1]
For NaLiHgF4, a crystal structure in Alexandria, relaxed with PBE gives the computed XRD peak list in this record (Cu Kα).
Intensities are scaled so that the largest is 100.

Crystal structure
```
data_NaLiHgF4
_symmetry_space_group_name_H-M 'P 1'
_symmetry_Int_Tables_number 1
_cell_length_a 6.565
_cell_length_b 6.565
_cell_length_c 6.565
_cell_angle_alpha 120.12
_cell_angle_beta 118.16
_cell_angle_gamma 91.50
loop_
_symmetry_equiv_pos_as_xyz
'x,y,z'
loop_
_atom_site_label
_atom_site_type_symbol
_atom_site_fract_x
_atom_site_fract_y
_atom_site_fract_z
Na1 Na 0.500 0.000 0.000
Na2 Na 0.500 0.500 0.500
Li1 Li 0.116 0.366 0.750
Li2 Li 0.884 0.634 0.250
Hg1 Hg 0.000 0.000 0.000
Hg2 Hg 0.500 0.000 0.500
F1 F 0.246 0.246 0.000
F2 F 0.247 0.258 0.511
F3 F 0.247 0.736 0.989
F4 F 0.254 0.754 0.500
F5 F 0.746 0.246 0.500
F6 F 0.753 0.264 0.011
F7 F 0.753 0.742 0.489
F8 F 0.754 0.754 0.000
```

Most intense lines, 2θ = 15–90°, in order of falling intensity:
2θ (°), Rel. int.
16.6, 100
31.4, 51
38.3, 31
19.4, 28
56.1, 25
32.3, 21
42.2, 20
43.3, 16
39.3, 14
27.2, 14


[2]
For PaGaAu3, a crystal structure in Alexandria, relaxed with PBE gives the computed XRD peak list in this record (Cu Kα).
Intensities are scaled so that the largest is 100.

Crystal structure
```
data_PaGaAu3
_symmetry_space_group_name_H-M 'P 1'
_symmetry_Int_Tables_number 1
_cell_length_a 13.805
_cell_length_b 13.805
_cell_length_c 3.197
_cell_angle_alpha 90.00
_cell_angle_beta 90.00
_cell_angle_gamma 160.16
loop_
_symmetry_equiv_pos_as_xyz
'x,y,z'
loop_
_atom_site_label
_atom_site_type_symbol
_atom_site_fract_x
_atom_site_fract_y
_atom_site_fract_z
Pa1 Pa 0.174 0.826 0.000
Pa2 Pa 0.826 0.174 0.000
Ga1 Ga 0.375 0.625 0.500
Ga2 Ga 0.625 0.375 0.500
Au1 Au 0.074 0.926 0.500
Au2 Au 0.277 0.723 0.500
Au3 Au 0.451 0.549 0.000
Au4 Au 0.549 0.451 0.000
Au5 Au 0.723 0.277 0.500
Au6 Au 0.926 0.074 0.500
```

Most intense lines, 2θ = 15–90°, in order of falling intensity:
2θ (°), Rel. int.
35.2, 100
41.2, 57
37.8, 48
37.7, 35
34.3, 32
26.2, 22
52.0, 20
69.0, 19
73.3, 18
66.6, 16


[3]
For Na2CeNiH8, a crystal structure in Alexandria, relaxed with PBE gives the computed XRD peak list in this record (Cu Kα).
Intensities are scaled so that the largest is 100.

Crystal structure
```
data_Na2CeNiH8
_symmetry_space_group_name_H-M 'P 1'
_symmetry_Int_Tables_number 1
_cell_length_a 4.662
_cell_length_b 4.662
_cell_length_c 6.302
_cell_angle_alpha 90.00
_cell_angle_beta 90.00
_cell_angle_gamma 120.00
loop_
_symmetry_equiv_pos_as_xyz
'x,y,z'
loop_
_atom_site_label
_atom_site_type_symbol
_atom_site_fract_x
_atom_site_fract_y
_atom_site_fract_z
Na1 Na 0.333 0.667 0.368
Na2 Na 0.667 0.333 0.632
Ce1 Ce 0.000 0.000 0.000
Ni1 Ni 0.000 0.000 0.500
H1 H 0.149 0.297 0.659
H2 H 0.149 0.851 0.659
H3 H 0.297 0.149 0.341
H4 H 0.333 0.667 0.020
H5 H 0.667 0.333 0.980
H6 H 0.703 0.851 0.659
H7 H 0.851 0.149 0.341
H8 H 0.851 0.703 0.341
```

Most intense lines, 2θ = 15–90°, in order of falling intensity:
2θ (°), Rel. int.
22.0, 100
36.2, 73
38.6, 45
26.2, 33
48.6, 30
53.9, 23
68.3, 22
28.3, 21
63.4, 16
44.9, 14


[4]
For Nb2Ni7Sb2Pt, a crystal structure in Alexandria, relaxed with PBE gives the computed XRD peak list in this record (Cu Kα).
Intensities are scaled so that the largest is 100.

Crystal structure
```
data_Nb2Ni7Sb2Pt
_symmetry_space_group_name_H-M 'P 1'
_symmetry_Int_Tables_number 1
_cell_length_a 14.971
_cell_length_b 14.971
_cell_length_c 14.971
_cell_angle_alpha 166.63
_cell_angle_beta 166.63
_cell_angle_gamma 18.96
loop_
_symmetry_equiv_pos_as_xyz
'x,y,z'
loop_
_atom_site_label
_atom_site_type_symbol
_atom_site_fract_x
_atom_site_fract_y
_atom_site_fract_z
Nb1 Nb 0.128 0.128 0.000
Nb2 Nb 0.872 0.872 0.000
Ni1 Ni 0.000 0.000 0.000
Ni2 Ni 0.066 0.566 0.500
Ni3 Ni 0.226 0.226 0.000
Ni4 Ni 0.434 0.934 0.500
Ni5 Ni 0.566 0.066 0.500
Ni6 Ni 0.774 0.774 0.000
Ni7 Ni 0.934 0.434 0.500
Sb1 Sb 0.312 0.312 0.000
Sb2 Sb 0.688 0.688 0.000
Pt1 Pt 0.500 0.500 0.000
```

Most intense lines, 2θ = 15–90°, in order of falling intensity:
2θ (°), Rel. int.
42.5, 100
29.8, 97
40.9, 90
52.5, 76
36.4, 61
44.2, 57
48.1, 48
69.7, 45
74.9, 31
49.4, 27


[5]
For AcPm3Pr6, a crystal structure in Alexandria, relaxed with PBE gives the computed XRD peak list in this record (Cu Kα).
Intensities are scaled so that the largest is 100.

Crystal structure
```
data_AcPm3Pr6
_symmetry_space_group_name_H-M 'P 1'
_symmetry_Int_Tables_number 1
_cell_length_a 12.471
_cell_length_b 3.680
_cell_length_c 16.524
_cell_angle_alpha 90.00
_cell_angle_beta 104.20
_cell_angle_gamma 90.00
loop_
_symmetry_equiv_pos_as_xyz
'x,y,z'
loop_
_atom_site_label
_atom_site_type_symbol
_atom_site_fract_x
_atom_site_fract_y
_atom_site_fract_z
Ac1 Ac 0.134 0.250 0.062
Ac2 Ac 0.866 0.750 0.938
Pm1 Pm 0.112 0.250 0.671
Pm2 Pm 0.384 0.250 0.428
Pm3 Pm 0.399 0.250 0.217
Pm4 Pm 0.601 0.750 0.783
Pm5 Pm 0.616 0.750 0.572
Pm6 Pm 0.888 0.750 0.329
Pr1 Pr 0.112 0.250 0.461
Pr2 Pr 0.115 0.750 0.855
Pr3 Pr 0.158 0.750 0.274
Pr4 Pr 0.339 0.750 0.613
Pr5 Pr 0.360 0.250 0.819
Pr6 Pr 0.381 0.750 0.021
Pr7 Pr 0.619 0.250 0.979
Pr8 Pr 0.640 0.750 0.181
Pr9 Pr 0.661 0.250 0.387
Pr10 Pr 0.842 0.250 0.726
Pr11 Pr 0.885 0.250 0.145
Pr12 Pr 0.888 0.750 0.539
```

Most intense lines, 2θ = 15–90°, in order of falling intensity:
2θ (°), Rel. int.
31.1, 100
29.5, 95
30.6, 67
33.0, 36
31.9, 31
28.4, 26
50.8, 25
29.2, 24
58.8, 21
59.3, 21


[6]
For Ac2Ge2F, a crystal structure in Alexandria, relaxed with PBE gives the computed XRD peak list in this record (Cu Kα).
Intensities are scaled so that the largest is 100.

Crystal structure
```
data_Ac2Ge2F
_symmetry_space_group_name_H-M 'P 1'
_symmetry_Int_Tables_number 1
_cell_length_a 7.390
_cell_length_b 7.390
_cell_length_c 6.485
_cell_angle_alpha 101.60
_cell_angle_beta 101.60
_cell_angle_gamma 51.39
loop_
_symmetry_equiv_pos_as_xyz
'x,y,z'
loop_
_atom_site_label
_atom_site_type_symbol
_atom_site_fract_x
_atom_site_fract_y
_atom_site_fract_z
Ac1 Ac 0.104 0.667 0.935
Ac2 Ac 0.333 0.896 0.565
Ac3 Ac 0.667 0.104 0.435
Ac4 Ac 0.896 0.333 0.065
Ge1 Ge 0.119 0.532 0.417
Ge2 Ge 0.468 0.881 0.083
Ge3 Ge 0.532 0.119 0.917
Ge4 Ge 0.881 0.468 0.583
F1 F 0.017 0.983 0.250
F2 F 0.983 0.017 0.750
```

Most intense lines, 2θ = 15–90°, in order of falling intensity:
2θ (°), Rel. int.
26.2, 100
27.8, 82
27.5, 65
21.9, 64
39.5, 51
30.9, 50
28.5, 46
28.2, 38
40.3, 38
34.2, 37